No. 1
The following is a calculated X-ray diffraction stick pattern of TaTlGa2Cl8. It was derived from a crystal structure in Alexandria, relaxed with PBE, using Cu Kα (weighted mean of Kα1 and Kα2).
No peak broadening, texture or thermal motion is included.

Peak list (6 most intense, 2θ = 10–80°, in order of rising 2θ)
- 12.7°, rel. 61
- 13.2°, rel. 62
- 18.2°, rel. 100
- 18.6°, rel. 87
- 25.5°, rel. 43
- 27.7°, rel. 58

Structural model:
```
TaTlGa2Cl8
1.0
6.9251 0.0000 0.0000
0.5596 7.1334 0.0000
2.3231 1.7540 8.4309
Ta Tl Ga Cl
1 1 2 8
Direct
0.0000 0.0000 0.0000
0.0000 0.0000 0.5000
0.4459 0.4531 0.7303
0.5541 0.5469 0.2697
0.1492 0.6953 0.0559
0.2125 0.1263 0.1225
0.2461 0.0736 0.7512
0.2699 0.6252 0.5087
0.7301 0.3748 0.4913
0.7539 0.9264 0.2488
0.7875 0.8737 0.8775
0.8508 0.3047 0.9441
```

No. 2
The following is a calculated X-ray diffraction stick pattern of CeTaV4. It was derived from a crystal structure in Alexandria, relaxed with PBE, using Cu Kα (weighted mean of Kα1 and Kα2).
No peak broadening, texture or thermal motion is included.

Peak list (6 most intense, 2θ = 10–80°, in order of rising 2θ)
- 21.0°, rel. 26
- 34.7°, rel. 75
- 40.9°, rel. 100
- 62.2°, rel. 28
- 66.4°, rel. 31
- 73.2°, rel. 21

Structural model:
```
CeTaV4
1.0
0.0000 3.6578 3.6578
3.6578 0.0000 3.6578
3.6578 3.6578 0.0000
Ce Ta V
1 1 4
Direct
0.0000 0.0000 0.0000
0.7500 0.7500 0.7500
0.3749 0.3749 0.3749
0.3749 0.3749 0.8753
0.3749 0.8753 0.3749
0.8753 0.3749 0.3749
```

No. 3
The following is a calculated X-ray diffraction stick pattern of MgRe3. It was derived from a crystal structure in Alexandria, relaxed with PBE, using Cu Kα (weighted mean of Kα1 and Kα2).
No peak broadening, texture or thermal motion is included.

Peak list (6 most intense, 2θ = 10–80°, in order of rising 2θ)
- 37.1°, rel. 29
- 39.2°, rel. 25
- 42.1°, rel. 100
- 55.1°, rel. 17
- 66.8°, rel. 17
- 73.1°, rel. 18

Structural model:
```
MgRe3
1.0
2.8013 0.0000 0.0000
-1.4007 2.4260 0.0000
0.0000 0.0000 9.1889
Mg Re
1 3
Direct
0.0000 0.0000 0.0000
0.0000 0.0000 0.5000
0.6667 0.3333 0.2617
0.6667 0.3333 0.7383
```

No. 4
The following is a calculated X-ray diffraction stick pattern of CaAc2SeO6. It was derived from a crystal structure in Alexandria, relaxed with PBE, using Cu Kα (weighted mean of Kα1 and Kα2).
No peak broadening, texture or thermal motion is included.

Peak list (6 most intense, 2θ = 10–80°, in order of rising 2θ)
- 21.1°, rel. 64
- 29.6°, rel. 100
- 29.8°, rel. 42
- 30.2°, rel. 98
- 30.3°, rel. 47
- 43.0°, rel. 50

Structural model:
```
CaAc2SeO6
1.0
5.9067 0.0000 0.0000
-2.9395 5.1374 0.0000
-0.0089 -3.3615 4.9656
Ca Ac Se O
1 2 1 6
Direct
0.0000 0.0000 0.0000
0.2487 0.4949 0.7291
0.7513 0.5051 0.2709
0.5000 0.0000 0.5000
0.1939 0.8728 0.6698
0.2692 0.5338 0.1609
0.3224 0.1266 0.3279
0.6776 0.8734 0.6721
0.7308 0.4662 0.8391
0.8061 0.1272 0.3302
```

No. 5
The following is a calculated X-ray diffraction stick pattern of In3H2Pd9. It was derived from a crystal structure in Alexandria, relaxed with PBE, using Cu Kα (weighted mean of Kα1 and Kα2).
No peak broadening, texture or thermal motion is included.

Peak list (4 most intense, 2θ = 10–80°, in order of rising 2θ)
- 38.3°, rel. 100
- 44.6°, rel. 49
- 64.9°, rel. 31
- 77.9°, rel. 36

Structural model:
```
In3H2Pd9
1.0
5.7470 0.0000 0.0000
-2.8735 4.9771 0.0000
0.0000 0.0000 7.0477
In H Pd
3 2 9
Direct
0.0000 0.0000 0.0000
0.3333 0.6667 0.3363
0.6667 0.3333 0.6637
0.3333 0.6667 0.8300
0.6667 0.3333 0.1700
0.0000 0.5000 0.0000
0.1654 0.3308 0.6660
0.1654 0.8346 0.6660
0.3308 0.1654 0.3340
0.5000 0.0000 0.0000
0.5000 0.5000 0.0000
0.6692 0.8346 0.6660
0.8346 0.1654 0.3340
0.8346 0.6692 0.3340
```

No. 6
The following is a calculated X-ray diffraction stick pattern of Rb2B2Cl7. It was derived from a crystal structure in Alexandria, relaxed with PBE, using Cu Kα (weighted mean of Kα1 and Kα2).
No peak broadening, texture or thermal motion is included.

Peak list (6 most intense, 2θ = 10–80°, in order of rising 2θ)
- 11.2°, rel. 75
- 17.0°, rel. 37
- 22.5°, rel. 100
- 31.7°, rel. 54
- 31.9°, rel. 62
- 34.5°, rel. 48

Structural model:
```
Rb2B2Cl7
1.0
5.9533 -6.0715 0.0000
5.9533 6.0715 0.0000
-2.8925 0.0000 5.2017
Rb B Cl
2 2 7
Direct
0.1783 0.8217 0.0000
0.8217 0.1783 0.0000
0.2170 0.2170 0.6704
0.7830 0.7830 0.3296
0.0000 0.0000 0.5000
0.1442 0.3976 0.8633
0.2481 0.2481 0.3982
0.3976 0.1442 0.8633
0.6024 0.8558 0.1367
0.7519 0.7519 0.6018
0.8558 0.6024 0.1367
```

No. 7
The following is a calculated X-ray diffraction stick pattern of MgCu5Cl12. It was derived from a crystal structure in Alexandria, relaxed with PBE, using Cu Kα (weighted mean of Kα1 and Kα2).
No peak broadening, texture or thermal motion is included.

Peak list (6 most intense, 2θ = 10–80°, in order of rising 2θ)
- 13.8°, rel. 100
- 25.1°, rel. 21
- 35.8°, rel. 21
- 36.7°, rel. 21
- 45.7°, rel. 19
- 46.9°, rel. 16

Structural model:
```
MgCu5Cl12
1.0
3.5574 -5.0460 0.0000
3.5574 5.0460 0.0000
-0.7760 0.0000 12.8293
Mg Cu Cl
1 5 12
Direct
0.0000 0.0000 0.0000
0.1669 0.8331 0.5000
0.3323 0.6677 0.0000
0.5000 0.5000 0.5000
0.6677 0.3323 0.0000
0.8331 0.1669 0.5000
0.0802 0.7264 0.1132
0.1156 0.1156 0.6068
0.2174 0.5503 0.3934
0.2736 0.9198 0.8868
0.3628 0.3628 0.0926
0.4497 0.7826 0.6066
0.5503 0.2174 0.3934
0.6372 0.6372 0.9074
0.7264 0.0802 0.1132
0.7826 0.4497 0.6066
0.8844 0.8844 0.3932
0.9198 0.2736 0.8868
```

No. 8
The following is a calculated X-ray diffraction stick pattern of K2NpAg2I6. It was derived from a crystal structure in Alexandria, relaxed with PBE, using Cu Kα (weighted mean of Kα1 and Kα2).
No peak broadening, texture or thermal motion is included.

Peak list (6 most intense, 2θ = 10–80°, in order of rising 2θ)
- 14.0°, rel. 47
- 14.2°, rel. 100
- 23.0°, rel. 99
- 28.7°, rel. 40
- 30.7°, rel. 39
- 41.1°, rel. 43

Structural model:
```
K2NpAg2I6
1.0
7.2130 -4.4613 0.0000
7.2130 4.4613 0.0000
-4.2289 0.0000 7.6703
K Np Ag I
2 1 2 6
Direct
0.2304 0.2304 0.1635
0.7696 0.7696 0.8365
0.0000 0.0000 0.5000
0.4513 0.4513 0.8181
0.5487 0.5487 0.1819
0.1710 0.6909 0.1976
0.2339 0.2339 0.5656
0.3091 0.8290 0.8024
0.6909 0.1710 0.1976
0.7661 0.7661 0.4344
0.8290 0.3091 0.8024
```